Record 1
Structure and theoretical X-ray diffraction stick pattern of Er6Al2Au (the GGA-PBE geometry in Alexandria; Cu Kα (weighted mean of Kα1 and Kα2)).
Kinematic intensities with the Lorentz-polarization factor, no thermal factor.

Atomic structure:
```
data_Er6Al2Au
_symmetry_space_group_name_H-M 'I m m m'
_symmetry_Int_Tables_number 71
_symmetry_space_group_name_Hall '-I 2 2'
_cell_length_a 4.9459
_cell_length_b 7.0685
_cell_length_c 14.9113
_cell_angle_alpha 90.00
_cell_angle_beta 90.00
_cell_angle_gamma 90.00
loop_
_atom_site_label
_atom_site_fract_x
_atom_site_fract_y
_atom_site_fract_z
Er1 0.0000 0.2436 0.0000
Er2 0.0000 0.2545 0.3356
Al1 0.0000 0.5000 0.1666
Au1 0.0000 0.5000 0.5000
```

Top 10 peaks for 5 to 70 degrees two-theta, sorted by position:
hkl 0 1 1, 2θ 13.86, 6.387 Å, rel. 9.1
hkl 1 1 0, 2θ 21.90, 4.059 Å, rel. 11.8
hkl 0 2 0, 2θ 25.20, 3.534 Å, rel. 17.8
hkl 1 0 3, 2θ 25.41, 3.506 Å, rel. 35.1
hkl 1 2 3, 2θ 36.10, 2.488 Å, rel. 100.0
hkl 2 0 0, 2θ 36.33, 2.473 Å, rel. 19.7
hkl 2 0 6, 2θ 52.18, 1.753 Å, rel. 14.1
hkl 2 2 6, 2θ 58.79, 1.571 Å, rel. 10.6
hkl 1 2 9, 2θ 64.96, 1.436 Å, rel. 14.5
hkl 3 2 3, 2θ 65.20, 1.431 Å, rel. 14.4

=====

Record 2
Structure and theoretical X-ray diffraction stick pattern of ErAl3Au (the GGA-PBE geometry in Alexandria; Cu Kα (weighted mean of Kα1 and Kα2)).
Kinematic intensities with the Lorentz-polarization factor, no thermal factor.

Atomic structure:
```
data_ErAl3Au
_symmetry_space_group_name_H-M 'P n m a'
_symmetry_Int_Tables_number 62
_cell_length_a 8.4018
_cell_length_b 4.2108
_cell_length_c 10.9772
_cell_angle_alpha 90.00
_cell_angle_beta 90.00
_cell_angle_gamma 90.00
loop_
_symmetry_equiv_pos_as_xyz
'x,y,z'
'-x,-y,-z'
'-x+1/2,-y,z+1/2'
'x+1/2,y,-z+1/2'
'x+1/2,-y+1/2,-z+1/2'
'-x+1/2,y+1/2,z+1/2'
'-x,y+1/2,-z'
'x,-y+1/2,z'
loop_
_atom_site_label
_atom_site_fract_x
_atom_site_fract_y
_atom_site_fract_z
Er1 0.1801 0.2500 0.0061
Al1 0.0737 0.2500 0.5964
Al2 0.1030 0.7500 0.8062
Al3 0.1334 0.7500 0.2076
Au1 0.1049 0.2500 0.3614
```

Top 10 peaks for 5 to 70 degrees two-theta, sorted by position:
hkl 1 0 2, 2θ 19.32, 4.595 Å, rel. 22.8
hkl 0 1 1, 2θ 22.64, 3.927 Å, rel. 67.5
hkl 1 0 3, 2θ 26.57, 3.355 Å, rel. 37.2
hkl 1 1 2, 2θ 28.76, 3.104 Å, rel. 28.0
hkl 2 1 0, 2θ 30.05, 2.974 Å, rel. 71.0
hkl 1 1 3, 2θ 34.17, 2.624 Å, rel. 100.0
hkl 2 1 2, 2θ 34.30, 2.614 Å, rel. 28.5
hkl 3 1 1, 2θ 39.51, 2.281 Å, rel. 31.0
hkl 0 2 0, 2θ 42.96, 2.105 Å, rel. 32.4
hkl 4 1 4, 2θ 59.60, 1.551 Å, rel. 25.0

=====

Record 3
Structure and theoretical X-ray diffraction stick pattern of Er2Al6Au3 (the GGA-PBE geometry in Alexandria; Cu Kα (weighted mean of Kα1 and Kα2)).
Kinematic intensities with the Lorentz-polarization factor, no thermal factor.

Atomic structure:
```
data_Er2Al6Au3
_symmetry_space_group_name_H-M 'P -6 2 m'
_symmetry_Int_Tables_number 189
_symmetry_space_group_name_Hall 'P -6 -2'
_cell_length_a 7.8158
_cell_length_b 7.8158
_cell_length_c 4.1115
_cell_angle_alpha 90.00
_cell_angle_beta 90.00
_cell_angle_gamma 120.00
loop_
_atom_site_label
_atom_site_fract_x
_atom_site_fract_y
_atom_site_fract_z
Er1 0.3333 0.6667 0.0000
Al1 0.0000 0.1919 0.0000
Al2 0.0000 0.6997 0.5000
Au1 0.0000 0.3775 0.5000
```

Top 10 peaks for 5 to 70 degrees two-theta, sorted by position:
hkl 1 0 0, 2θ 13.08, 6.769 Å, rel. 25.2
hkl 1 1 0, 2θ 22.76, 3.908 Å, rel. 38.3
hkl 1 1 1, 2θ 31.59, 2.833 Å, rel. 100.0
hkl 2 0 1, 2θ 34.32, 2.613 Å, rel. 20.0
hkl 3 0 0, 2θ 39.96, 2.256 Å, rel. 34.1
hkl 2 1 1, 2θ 41.58, 2.172 Å, rel. 20.2
hkl 0 0 2, 2θ 44.05, 2.056 Å, rel. 14.3
hkl 2 2 1, 2θ 51.80, 1.765 Å, rel. 18.9
hkl 3 0 2, 2θ 60.97, 1.520 Å, rel. 19.9
hkl 4 1 1, 2θ 67.37, 1.390 Å, rel. 15.8

=====

Record 4
Structure and theoretical X-ray diffraction stick pattern of Er6AlAu2 (the GGA-PBE geometry in Alexandria; Cu Kα (weighted mean of Kα1 and Kα2)).
Kinematic intensities with the Lorentz-polarization factor, no thermal factor.

Atomic structure:
```
data_Er6AlAu2
_symmetry_space_group_name_H-M 'I m m m'
_symmetry_Int_Tables_number 71
_symmetry_space_group_name_Hall '-I 2 2'
_cell_length_a 9.5290
_cell_length_b 9.6518
_cell_length_c 10.2914
_cell_angle_alpha 90.00
_cell_angle_beta 90.00
_cell_angle_gamma 90.00
loop_
_atom_site_label
_atom_site_fract_x
_atom_site_fract_y
_atom_site_fract_z
Er1 0.0000 0.2126 0.1729
Er2 0.1804 0.2232 0.5000
Er3 0.1969 0.5000 0.2576
Al1 0.0000 0.5000 0.0000
Al2 0.0000 0.5000 0.5000
Au1 0.0000 0.0000 0.3637
Au2 0.1577 0.0000 0.0000
```

Top 10 peaks for 5 to 70 degrees two-theta, sorted by position:
hkl 1 1 0, 2θ 13.06, 6.781 Å, rel. 55.9
hkl 2 2 2, 2θ 31.60, 2.831 Å, rel. 59.9
hkl 1 2 3, 2θ 33.40, 2.683 Å, rel. 89.3
hkl 3 1 2, 2θ 34.46, 2.603 Å, rel. 62.6
hkl 2 3 1, 2θ 34.76, 2.581 Å, rel. 28.2
hkl 3 2 1, 2θ 34.92, 2.570 Å, rel. 100.0
hkl 0 4 0, 2θ 37.26, 2.413 Å, rel. 47.4
hkl 0 3 3, 2θ 38.36, 2.347 Å, rel. 28.7
hkl 2 0 4, 2θ 39.82, 2.264 Å, rel. 39.2
hkl 3 5 2, 2θ 58.78, 1.571 Å, rel. 30.7

=====

Record 5
Structure and theoretical X-ray diffraction stick pattern of Er3Al2Au (the GGA-PBE geometry in Alexandria; Cu Kα (weighted mean of Kα1 and Kα2)).
Kinematic intensities with the Lorentz-polarization factor, no thermal factor.

Atomic structure:
```
data_Er3Al2Au
_symmetry_space_group_name_H-M 'P 4/m m m'
_symmetry_Int_Tables_number 123
_symmetry_space_group_name_Hall '-P 4 2'
_cell_length_a 3.5820
_cell_length_b 3.5820
_cell_length_c 10.6639
_cell_angle_alpha 90.00
_cell_angle_beta 90.00
_cell_angle_gamma 90.00
loop_
_atom_site_label
_atom_site_fract_x
_atom_site_fract_y
_atom_site_fract_z
Er1 0.0000 0.0000 0.0000
Er2 0.0000 0.0000 0.3355
Al1 0.5000 0.5000 0.1649
Au1 0.5000 0.5000 0.5000
```

Top 10 peaks for 5 to 70 degrees two-theta, sorted by position:
hkl 0 0 1, 2θ 8.29, 10.664 Å, rel. 35.2
hkl 0 0 2, 2θ 16.63, 5.332 Å, rel. 8.8
hkl 1 0 0, 2θ 24.86, 3.582 Å, rel. 13.3
hkl 1 0 1, 2θ 26.25, 3.396 Å, rel. 10.7
hkl 1 1 0, 2θ 35.44, 2.533 Å, rel. 50.6
hkl 1 0 3, 2θ 35.58, 2.523 Å, rel. 100.0
hkl 2 0 0, 2θ 50.99, 1.791 Å, rel. 18.1
hkl 0 0 6, 2θ 51.41, 1.777 Å, rel. 8.8
hkl 2 1 3, 2θ 63.72, 1.460 Å, rel. 37.1
hkl 1 1 6, 2θ 64.00, 1.455 Å, rel. 18.3

=====

Record 6
Structure and theoretical X-ray diffraction stick pattern of Er3Al2Au7 (the GGA-PBE geometry in Alexandria; Cu Kα (weighted mean of Kα1 and Kα2)).
Kinematic intensities with the Lorentz-polarization factor, no thermal factor.

Atomic structure:
```
data_Er3Al2Au7
_symmetry_space_group_name_H-M 'I 4/m m m'
_symmetry_Int_Tables_number 139
_symmetry_space_group_name_Hall '-I 4 2'
_cell_length_a 4.2045
_cell_length_b 4.2045
_cell_length_c 27.9941
_cell_angle_alpha 90.00
_cell_angle_beta 90.00
_cell_angle_gamma 90.00
loop_
_atom_site_label
_atom_site_fract_x
_atom_site_fract_y
_atom_site_fract_z
Er1 0.0000 0.0000 0.0000
Er2 0.0000 0.0000 0.1747
Al1 0.0000 0.0000 0.3685
Au1 0.0000 0.0000 0.2792
Au2 0.0000 0.0000 0.5000
Au3 0.0000 0.5000 0.0798
```

Top 10 peaks for 5 to 70 degrees two-theta, sorted by position:
hkl 0 0 2, 2θ 6.31, 13.997 Å, rel. 26.3
hkl 1 1 2, 2θ 30.74, 2.908 Å, rel. 26.4
hkl 1 1 4, 2θ 32.73, 2.736 Å, rel. 39.3
hkl 1 1 6, 2θ 35.84, 2.506 Å, rel. 100.0
hkl 1 1 8, 2θ 39.78, 2.266 Å, rel. 16.6
hkl 1 0 11, 2θ 41.48, 2.177 Å, rel. 13.2
hkl 2 0 0, 2θ 43.03, 2.102 Å, rel. 50.6
hkl 2 0 12, 2θ 59.16, 1.562 Å, rel. 13.3
hkl 2 2 0, 2θ 62.48, 1.487 Å, rel. 16.9
hkl 1 1 18, 2θ 68.03, 1.378 Å, rel. 19.3

=====

Record 7
Structure and theoretical X-ray diffraction stick pattern of Er4AlAu (the GGA-PBE geometry in Alexandria; Cu Kα (weighted mean of Kα1 and Kα2)).
Kinematic intensities with the Lorentz-polarization factor, no thermal factor.

Atomic structure:
```
data_Er4AlAu
_symmetry_space_group_name_H-M 'C 1 2/c 1'
_symmetry_Int_Tables_number 15
_cell_length_a 8.9133
_cell_length_b 13.5278
_cell_length_c 6.0225
_cell_angle_alpha 90.00
_cell_angle_beta 116.59
_cell_angle_gamma 90.00
loop_
_symmetry_equiv_pos_as_xyz
'x,y,z'
'-x,-y,-z'
'-x,y,-z+1/2'
'x,-y,z+1/2'
'x+1/2,y+1/2,z'
'-x+1/2,-y+1/2,-z'
'-x+1/2,y+1/2,-z+1/2'
'x+1/2,-y+1/2,z+1/2'
loop_
_atom_site_label
_atom_site_fract_x
_atom_site_fract_y
_atom_site_fract_z
Er1 0.1226 0.1835 0.0818
Er2 0.2037 0.4269 0.3075
Al1 0.0000 0.3726 0.7500
Au1 0.0000 0.0013 0.2500
```

Top 10 peaks for 5 to 70 degrees two-theta, sorted by position:
hkl 1 1 0, 2θ 12.89, 6.867 Å, rel. 84.3
hkl 0 2 0, 2θ 13.09, 6.764 Å, rel. 35.5
hkl 1 1 1, 2θ 24.63, 3.615 Å, rel. 38.4
hkl 3 1 -1, 2θ 30.85, 2.898 Å, rel. 64.9
hkl 0 4 1, 2θ 31.23, 2.864 Å, rel. 64.2
hkl 2 4 -1, 2θ 33.92, 2.643 Å, rel. 55.7
hkl 1 5 0, 2θ 35.02, 2.562 Å, rel. 53.8
hkl 0 2 2, 2θ 35.90, 2.501 Å, rel. 86.7
hkl 2 2 1, 2θ 36.04, 2.492 Å, rel. 100.0
hkl 3 3 0, 2θ 39.36, 2.289 Å, rel. 38.1

=====

Record 8
Structure and theoretical X-ray diffraction stick pattern of Er2Al12Au7 (the GGA-PBE geometry in Alexandria; Cu Kα (weighted mean of Kα1 and Kα2)).
Kinematic intensities with the Lorentz-polarization factor, no thermal factor.

Atomic structure:
```
data_Er2Al12Au7
_symmetry_space_group_name_H-M 'P -3'
_symmetry_Int_Tables_number 147
_cell_length_a 10.5208
_cell_length_b 10.5208
_cell_length_c 4.0357
_cell_angle_alpha 90.00
_cell_angle_beta 90.00
_cell_angle_gamma 120.00
loop_
_symmetry_equiv_pos_as_xyz
'x,y,z'
'-x,-y,-z'
'-y,x-y,z'
'y,-x+y,-z'
'-x+y,-x,z'
'x-y,x,-z'
loop_
_atom_site_label
_atom_site_fract_x
_atom_site_fract_y
_atom_site_fract_z
Er1 0.3333 0.6667 0.2660
Al1 0.0486 0.4345 0.7487
Al2 0.1098 0.2661 0.2589
Au1 0.0000 0.0000 0.5000
Au2 0.1301 0.7120 0.7621
```

Top 10 peaks for 5 to 70 degrees two-theta, sorted by position:
hkl 2 1 0, 2θ 25.87, 3.444 Å, rel. 100.0
hkl 1 1 1, 2θ 27.86, 3.202 Å, rel. 45.6
hkl 0 2 1, 2θ 29.57, 3.021 Å, rel. 69.2
hkl 3 -1 1, 2θ 34.23, 2.620 Å, rel. 77.0
hkl 3 0 1, 2θ 37.05, 2.427 Å, rel. 21.1
hkl 4 -3 1, 2θ 42.19, 2.142 Å, rel. 37.4
hkl 1 4 0, 2θ 45.63, 1.988 Å, rel. 61.7
hkl 3 2 1, 2θ 49.08, 1.856 Å, rel. 32.1
hkl 3 -2 2, 2θ 52.57, 1.741 Å, rel. 20.5
hkl 5 -1 2, 2θ 65.96, 1.416 Å, rel. 24.6

=====

Please write out number 6 again, unchanged.
Structure and theoretical X-ray diffraction stick pattern of Er3Al2Au7 (the GGA-PBE geometry in Alexandria; Cu Kα (weighted mean of Kα1 and Kα2)).
Kinematic intensities with the Lorentz-polarization factor, no thermal factor.

Atomic structure:
```
data_Er3Al2Au7
_symmetry_space_group_name_H-M 'I 4/m m m'
_symmetry_Int_Tables_number 139
_symmetry_space_group_name_Hall '-I 4 2'
_cell_length_a 4.2045
_cell_length_b 4.2045
_cell_length_c 27.9941
_cell_angle_alpha 90.00
_cell_angle_beta 90.00
_cell_angle_gamma 90.00
loop_
_atom_site_label
_atom_site_fract_x
_atom_site_fract_y
_atom_site_fract_z
Er1 0.0000 0.0000 0.0000
Er2 0.0000 0.0000 0.1747
Al1 0.0000 0.0000 0.3685
Au1 0.0000 0.0000 0.2792
Au2 0.0000 0.0000 0.5000
Au3 0.0000 0.5000 0.0798
```

Top 10 peaks for 5 to 70 degrees two-theta, sorted by position:
hkl 0 0 2, 2θ 6.31, 13.997 Å, rel. 26.3
hkl 1 1 2, 2θ 30.74, 2.908 Å, rel. 26.4
hkl 1 1 4, 2θ 32.73, 2.736 Å, rel. 39.3
hkl 1 1 6, 2θ 35.84, 2.506 Å, rel. 100.0
hkl 1 1 8, 2θ 39.78, 2.266 Å, rel. 16.6
hkl 1 0 11, 2θ 41.48, 2.177 Å, rel. 13.2
hkl 2 0 0, 2θ 43.03, 2.102 Å, rel. 50.6
hkl 2 0 12, 2θ 59.16, 1.562 Å, rel. 13.3
hkl 2 2 0, 2θ 62.48, 1.487 Å, rel. 16.9
hkl 1 1 18, 2θ 68.03, 1.378 Å, rel. 19.3